(1)
Diffraction record for LiZn4Fe13O24. The X-ray diffraction stick pattern is computed, not measured: it uses the GGA+U geometry in the Materials Project and Cu Kα (weighted mean of Kα1 and Kα2).
No peak broadening, texture or thermal motion is included.

Atomic structure:
a = 6.059 Å, b = 6.059 Å, c = 14.814 Å
α = 90.26°, β = 90.26°, γ = 59.98°
Fractional positions:
Li 0.000 0.000 0.000
Zn 0.001 0.001 0.374
Zn 0.167 0.167 0.542
Zn 0.333 0.333 0.709
Zn 0.837 0.837 0.206
Fe 0.166 0.668 0.542
Fe 0.329 0.839 0.208
Fe 0.331 0.331 0.084
Fe 0.340 0.340 0.333
Fe 0.502 0.996 0.877
Fe 0.503 0.503 0.877
Fe 0.663 0.663 0.417
Fe 0.667 0.667 0.038
Fe 0.668 0.166 0.542
Fe 0.670 0.670 0.663
Fe 0.839 0.329 0.208
Fe 0.996 0.502 0.877
Fe 0.999 0.999 0.754
O 0.008 0.008 0.139
O 0.016 0.502 0.622
O 0.166 0.166 0.287
O 0.172 0.652 0.798
O 0.173 0.680 0.288
O 0.174 0.174 0.798
O 0.319 0.832 0.463
O 0.333 0.333 0.951
O 0.339 0.339 0.466
O 0.365 0.818 0.952
O 0.494 0.494 0.620
O 0.502 0.016 0.622
O 0.503 0.982 0.124
O 0.510 0.510 0.126
O 0.652 0.172 0.798
O 0.665 0.665 0.285
O 0.667 0.667 0.795
O 0.680 0.173 0.288
O 0.817 0.817 0.953
O 0.818 0.365 0.952
O 0.832 0.319 0.463
O 0.838 0.838 0.465
O 0.982 0.503 0.124
O 0.995 0.995 0.622

Principal peaks in the range 2θ from 10° to 90°, in order of falling intensity:
2.584 Å, 2θ 34.71, intensity 100.0
1.515 Å, 2θ 61.19, intensity 62.7
2.577 Å, 2θ 34.81, intensity 57.9
4.945 Å, 2θ 17.94, intensity 33.8
2.138 Å, 2θ 42.27, intensity 30.1
3.029 Å, 2θ 29.49, intensity 29.9
1.651 Å, 2θ 55.66, intensity 20.8
1.645 Å, 2θ 55.88, intensity 18.4
1.647 Å, 2θ 55.81, intensity 16.2
2.146 Å, 2θ 42.10, intensity 15.3

=====

(2)
Diffraction record for Li9Mn2Co5O16. The X-ray diffraction stick pattern is computed, not measured: it uses the GGA+U geometry in the Materials Project and Cu Kα (weighted mean of Kα1 and Kα2).
No peak broadening, texture or thermal motion is included.

Atomic structure:
a = 3.018 Å, b = 9.908 Å, c = 9.983 Å
α = 77.92°, β = 87.10°, γ = 87.02°
Fractional positions:
Li 0.000 0.000 0.000
Li 0.003 0.245 0.627
Li 0.006 0.756 0.870
Li 0.493 0.250 0.373
Li 0.495 0.243 0.876
Li 0.505 0.757 0.124
Li 0.507 0.750 0.627
Li 0.994 0.244 0.130
Li 0.997 0.755 0.373
Mn 0.500 0.500 0.000
Mn 0.500 0.500 0.500
Co 0.000 0.000 0.500
Co 0.000 0.499 0.750
Co 0.000 0.501 0.250
Co 0.499 0.001 0.758
Co 0.501 0.999 0.242
O 0.015 0.114 0.808
O 0.029 0.617 0.068
O 0.030 0.114 0.321
O 0.030 0.616 0.569
O 0.468 0.387 0.185
O 0.469 0.386 0.685
O 0.491 0.110 0.574
O 0.495 0.884 0.916
O 0.505 0.116 0.084
O 0.509 0.890 0.426
O 0.531 0.614 0.315
O 0.532 0.613 0.815
O 0.970 0.384 0.431
O 0.970 0.886 0.679
O 0.971 0.383 0.932
O 0.985 0.886 0.192

Principal peaks in the range 2θ from 10° to 90°, in order of falling intensity:
4.840 Å, 2θ 18.33, intensity 100.0
2.194 Å, 2θ 41.15, intensity 34.5
2.057 Å, 2θ 44.02, intensity 27.2
2.016 Å, 2θ 44.96, intensity 24.7
2.619 Å, 2θ 34.24, intensity 20.8
1.485 Å, 2θ 62.57, intensity 15.6
2.479 Å, 2θ 36.23, intensity 12.7
2.438 Å, 2θ 36.86, intensity 10.6
1.455 Å, 2θ 63.97, intensity 9.1
1.506 Å, 2θ 61.60, intensity 8.4

=====

(3)
Diffraction record for CrO3. The X-ray diffraction stick pattern is computed, not measured: it uses the GGA+U geometry in the Materials Project and Cu Kα (weighted mean of Kα1 and Kα2).
No peak broadening, texture or thermal motion is included.

Atomic structure:
a = 3.097 Å, b = 8.399 Å, c = 4.903 Å
α = 90.00°, β = 90.00°, γ = 90.00°
Fractional positions:
Cr 0.000 0.000 0.000
Cr 0.000 0.500 0.500
O 0.000 0.152 0.805
O 0.000 0.348 0.305
O 0.000 0.652 0.305
O 0.000 0.848 0.805
O 0.500 0.000 0.182
O 0.500 0.500 0.682

Principal peaks in the range 2θ from 10° to 90°, in order of falling intensity:
4.234 Å, 2θ 20.98, intensity 100.0
2.500 Å, 2θ 35.93, intensity 40.2
4.199 Å, 2θ 21.16, intensity 37.6
3.097 Å, 2θ 28.83, intensity 23.9
2.431 Å, 2θ 36.97, intensity 21.0
1.748 Å, 2θ 52.35, intensity 15.8
1.454 Å, 2θ 64.05, intensity 9.3
2.117 Å, 2θ 42.71, intensity 9.0
1.418 Å, 2θ 65.88, intensity 9.0
1.284 Å, 2θ 73.78, intensity 7.8

=====

(4)
Diffraction record for Li4Ti3Mn3Cr2O16. The X-ray diffraction stick pattern is computed, not measured: it uses the GGA+U geometry in the Materials Project and Cu Kα (weighted mean of Kα1 and Kα2).
No peak broadening, texture or thermal motion is included.

Atomic structure:
a = 5.895 Å, b = 5.895 Å, c = 9.584 Å
α = 90.33°, β = 90.33°, γ = 60.96°
Fractional positions:
Li 0.000 0.000 0.000
Li 0.007 0.007 0.498
Li 0.339 0.339 0.897
Li 0.680 0.680 0.393
Ti 0.175 0.175 0.215
Ti 0.346 0.840 0.718
Ti 0.840 0.346 0.718
Mn 0.180 0.667 0.217
Mn 0.667 0.180 0.217
Mn 0.839 0.839 0.715
Cr 0.348 0.348 0.486
Cr 0.673 0.673 0.990
O 0.005 0.005 0.812
O 0.006 0.006 0.311
O 0.053 0.487 0.340
O 0.175 0.175 0.610
O 0.190 0.681 0.602
O 0.330 0.847 0.107
O 0.340 0.340 0.109
O 0.487 0.053 0.340
O 0.493 0.493 0.345
O 0.516 0.965 0.848
O 0.525 0.525 0.838
O 0.678 0.678 0.609
O 0.681 0.190 0.602
O 0.840 0.840 0.105
O 0.847 0.330 0.107
O 0.965 0.516 0.848

Principal peaks in the range 2θ from 10° to 90°, in order of falling intensity:
4.539 Å, 2θ 19.56, intensity 100.0
4.792 Å, 2θ 18.52, intensity 88.4
2.488 Å, 2θ 36.09, intensity 48.5
1.473 Å, 2θ 63.10, intensity 40.0
3.510 Å, 2θ 25.38, intensity 34.7
1.535 Å, 2θ 60.28, intensity 33.0
2.537 Å, 2θ 35.37, intensity 33.0
2.009 Å, 2θ 45.13, intensity 31.3
2.002 Å, 2θ 45.29, intensity 30.6
2.517 Å, 2θ 35.68, intensity 28.9